Entry 1:
Tl2Ag5O6: computed X-ray powder pattern (Cu Kα, 1.54184 Å), based on a PBE-relaxed structure.

Cell and atoms:
```
data_Tl2Ag5O6
_space_group_name_H-M_alt 'P -3 1 m'
_space_group_IT_number 162
_space_group_name_Hall '-P 3 2'
_cell_length_a 5.9657
_cell_length_b 5.9657
_cell_length_c 6.4222
_cell_angle_alpha 90.00
_cell_angle_beta 90.00
_cell_angle_gamma 120.00
loop_
_atom_site_label
_atom_site_type_symbol
_atom_site_fract_x
_atom_site_fract_y
_atom_site_fract_z
Tl1 Tl 0.3333 0.6667 0.0000
Ag1 Ag 0.0000 0.0000 0.2729
Ag2 Ag 0.0000 0.5000 0.5000
O1 O 0.0000 0.3678 0.8007
```

Peak list (8 most intense, 2θ = 10–90°, in order of rising 2θ)
| (hkl) | two_theta | I (rel.) |
| --- | --- | --- |
| 1 1 0 | 30.0 | 50 |
| 1 0 2 | 32.8 | 100 |
| 1 1 1 | 33.1 | 80 |
| 2 0 0 | 34.7 | 25 |
| 2 0 1 | 37.5 | 81 |
| 2 -1 3 | 52.6 | 40 |
| 2 1 2 | 55.0 | 46 |
| 2 2 0 | 62.2 | 25 |

Entry 2:
Tm2Ag2O5: computed X-ray powder pattern (Cu Kα, 1.54184 Å), based on a PBE-relaxed structure.

Cell and atoms:
```
data_Tm2Ag2O5
_space_group_name_H-M_alt 'P 4/m m m'
_space_group_IT_number 123
_space_group_name_Hall '-P 4 2'
_cell_length_a 4.0079
_cell_length_b 4.0079
_cell_length_c 8.4417
_cell_angle_alpha 90.00
_cell_angle_beta 90.00
_cell_angle_gamma 90.00
loop_
_atom_site_label
_atom_site_type_symbol
_atom_site_fract_x
_atom_site_fract_y
_atom_site_fract_z
Tm1 Tm 0.0000 0.0000 0.2481
Ag1 Ag 0.5000 0.5000 0.0000
Ag2 Ag 0.5000 0.5000 0.5000
O1 O 0.0000 0.0000 0.5000
O2 O 0.0000 0.5000 0.1611
```

Peak list (8 most intense, 2θ = 10–90°, in order of rising 2θ)
| (hkl) | two_theta | I (rel.) |
| --- | --- | --- |
| 1 0 2 | 30.8 | 100 |
| 1 1 0 | 31.6 | 41 |
| 0 0 4 | 42.9 | 10 |
| 2 0 0 | 45.3 | 24 |
| 1 1 4 | 54.2 | 25 |
| 2 1 2 | 55.7 | 37 |
| 2 0 4 | 64.1 | 12 |
| 2 1 6 | 88.3 | 10 |

Entry 3:
YTmAg2O4: computed X-ray powder pattern (Cu Kα, 1.54184 Å), based on a PBE-relaxed structure.

Cell and atoms:
```
data_YTmAg2O4
_space_group_name_H-M_alt 'P -3 m 1'
_space_group_IT_number 164
_space_group_name_Hall '-P 3 2"'
_cell_length_a 3.4552
_cell_length_b 3.4552
_cell_length_c 12.4879
_cell_angle_alpha 90.00
_cell_angle_beta 90.00
_cell_angle_gamma 120.00
loop_
_atom_site_label
_atom_site_type_symbol
_atom_site_fract_x
_atom_site_fract_y
_atom_site_fract_z
Y1 Y 0.0000 0.0000 0.0000
Tm1 Tm 0.0000 0.0000 0.5000
Ag1 Ag 0.3333 0.6667 0.2520
O1 O 0.3333 0.6667 0.0861
O2 O 0.3333 0.6667 0.4180
```

Peak list (8 most intense, 2θ = 10–90°, in order of rising 2θ)
| (hkl) | two_theta | I (rel.) |
| --- | --- | --- |
| 0 0 4 | 28.6 | 39 |
| 1 0 1 | 30.7 | 55 |
| 1 0 2 | 33.2 | 100 |
| 0 1 3 | 37.0 | 15 |
| 1 0 5 | 47.4 | 15 |
| 1 1 0 | 53.0 | 30 |
| 1 0 6 | 53.6 | 33 |
| 1 1 4 | 61.3 | 27 |

Entry 4:
ZnAg2O4: computed X-ray powder pattern (Cu Kα, 1.54184 Å), based on a PBE-relaxed structure.

Cell and atoms:
```
data_ZnAg2O4
_space_group_name_H-M_alt 'I 41/a m d'
_space_group_IT_number 141
_cell_length_a 6.3938
_cell_length_b 6.3938
_cell_length_c 8.5333
_cell_angle_alpha 90.00
_cell_angle_beta 90.00
_cell_angle_gamma 90.00
loop_
_space_group_symop_operation_xyz
'x,y,z'
'-x,-y,-z'
'-y+1/4,x+3/4,z+1/4'
'y+1/4,-x+3/4,-z+1/4'
'-x+1/2,-y,z+1/2'
'x+1/2,y,-z+1/2'
'y+1/4,-x+1/4,z+3/4'
'-y+1/4,x+1/4,-z+3/4'
'x,-y,-z'
'-x,y,z'
'-y+1/4,-x+1/4,-z+3/4'
'y+1/4,x+1/4,z+3/4'
'-x+1/2,y,-z+1/2'
'x+1/2,-y,z+1/2'
'y+1/4,x+3/4,-z+1/4'
'-y+1/4,-x+3/4,z+1/4'
'x+1/2,y+1/2,z+1/2'
'-x+1/2,-y+1/2,-z+1/2'
'-y+3/4,x+1/4,z+3/4'
'y+3/4,-x+1/4,-z+3/4'
'-x,-y+1/2,z'
'x,y+1/2,-z'
'y+3/4,-x+3/4,z+1/4'
'-y+3/4,x+3/4,-z+1/4'
'x+1/2,-y+1/2,-z+1/2'
'-x+1/2,y+1/2,z+1/2'
'-y+3/4,-x+3/4,-z+1/4'
'y+3/4,x+3/4,z+1/4'
'-x,y+1/2,-z'
'x,-y+1/2,z'
'y+3/4,x+1/4,-z+3/4'
'-y+3/4,-x+1/4,z+3/4'
loop_
_atom_site_label
_atom_site_type_symbol
_atom_site_fract_x
_atom_site_fract_y
_atom_site_fract_z
Zn1 Zn 0.0000 0.2500 0.3750
Ag1 Ag 0.0000 0.0000 0.0000
O1 O 0.0000 0.0044 0.7557
```

Peak list (8 most intense, 2θ = 10–90°, in order of rising 2θ)
| (hkl) | two_theta | I (rel.) |
| --- | --- | --- |
| 1 0 1 | 17.3 | 38 |
| 2 1 1 | 33.0 | 100 |
| 1 0 3 | 34.5 | 43 |
| 2 0 2 | 35.1 | 40 |
| 2 2 0 | 39.9 | 26 |
| 3 2 1 | 52.7 | 26 |
| 4 0 0 | 57.7 | 22 |
| 2 2 4 | 59.6 | 39 |

Entry 5:
ZnAg2O2: computed X-ray powder pattern (Cu Kα, 1.54184 Å), based on a PBE-relaxed structure.

Cell and atoms:
```
data_ZnAg2O2
_space_group_name_H-M_alt 'P 21 21 21'
_space_group_IT_number 19
_space_group_name_Hall 'P 2ac 2ab'
_cell_length_a 5.6012
_cell_length_b 6.4467
_cell_length_c 8.2671
_cell_angle_alpha 90.00
_cell_angle_beta 90.00
_cell_angle_gamma 90.00
loop_
_atom_site_label
_atom_site_type_symbol
_atom_site_fract_x
_atom_site_fract_y
_atom_site_fract_z
Zn1 Zn 0.0797 0.0962 0.4879
Ag1 Ag 0.0271 0.0352 0.1626
Ag2 Ag 0.0466 0.7134 0.6736
O1 O 0.1556 0.8369 0.3861
O2 O 0.2151 0.6778 0.9189
```

Peak list (8 most intense, 2θ = 10–90°, in order of rising 2θ)
| (hkl) | two_theta | I (rel.) |
| --- | --- | --- |
| 1 1 2 | 30.2 | 16 |
| 2 0 0 | 32.0 | 82 |
| 1 2 1 | 33.9 | 100 |
| 0 1 3 | 35.4 | 45 |
| 1 1 3 | 39.0 | 68 |
| 2 1 2 | 41.4 | 14 |
| 2 1 3 | 48.4 | 21 |
| 3 2 1 | 58.2 | 15 |

Entry 6:
ZrAgO3: computed X-ray powder pattern (Cu Kα, 1.54184 Å), based on a PBE-relaxed structure.

Cell and atoms:
```
data_ZrAgO3
_space_group_name_H-M_alt 'P n m a'
_space_group_IT_number 62
_space_group_name_Hall '-P 2ac 2n'
_cell_length_a 5.7831
_cell_length_b 8.0523
_cell_length_c 5.3976
_cell_angle_alpha 90.00
_cell_angle_beta 90.00
_cell_angle_gamma 90.00
loop_
_atom_site_label
_atom_site_type_symbol
_atom_site_fract_x
_atom_site_fract_y
_atom_site_fract_z
Zr1 Zr 0.0000 0.0000 0.0000
Ag1 Ag 0.0797 0.2500 0.4812
O1 O 0.0604 0.7500 0.1381
O2 O 0.2030 0.5707 0.6959
```

Peak list (8 most intense, 2θ = 10–90°, in order of rising 2θ)
| (hkl) | two_theta | I (rel.) |
| --- | --- | --- |
| 1 1 1 | 25.1 | 16 |
| 2 0 0 | 30.9 | 16 |
| 1 2 1 | 31.8 | 100 |
| 0 0 2 | 33.2 | 21 |
| 0 4 0 | 45.0 | 13 |
| 2 0 2 | 46.0 | 16 |
| 3 1 1 | 51.6 | 13 |
| 1 2 3 | 58.4 | 21 |